Diffraction record for Mg3V. The powder diffraction line list is theoretical, not measured: it uses the PBE geometry in Alexandria and Cu Kα.
Neutral-atom scattering factors, no anomalous dispersion.

Structure:
Unit cell a=2.9592 b=4.9895 c=5.4823 alpha=90.00 beta=90.00 gamma=90.00
Space group Pmm2 (No. 25)
One atom of each set of equivalent atoms:
Mg (0.0000, 0.0000, 0.0000) (multiplicity 1)
Mg (0.0000, 0.5000, 0.3172) (multiplicity 1)
Mg (0.5000, 0.0000, 0.5224) (multiplicity 1)
V (0.5000, 0.5000, 0.8187) (multiplicity 1)

Main lines, by angle (10 to 90 degrees two-theta):
| Position (°2θ) | d/Å | intensity |
| --- | --- | --- |
| 16.2 | 5.482 | 18 |
| 17.8 | 4.990 | 11 |
| 34.4 | 2.604 | 37 |
| 36.0 | 2.495 | 46 |
| 37.4 | 2.402 | 72 |
| 39.0 | 2.309 | 100 |
| 50.7 | 1.801 | 23 |
| 59.4 | 1.555 | 18 |
| 65.7 | 1.422 | 12 |
| 66.7 | 1.402 | 18 |
| 71.5 | 1.320 | 20 |
| 75.5 | 1.260 | 16 |